No. 1
PrEuHgRh: theoretical powder XRD pattern (Cu Kα (weighted mean of Kα1 and Kα2)), based on the PBE geometry in Alexandria.

Structural model:
```
PrEuHgRh
1.0
0.000 3.701 3.701
3.701 0.000 3.701
3.701 3.701 0.000
Pr Eu Hg Rh
1 1 1 1
Cartesian
0.000 0.000 0.000 Pr
3.701 3.701 3.701 Eu
5.552 5.552 5.552 Hg
1.851 1.851 1.851 Rh
```

Top 10 peaks for 2θ = 10–90°, in order of falling intensity:
| two_theta | intensity |
| --- | --- |
| 34.26 | 100 |
| 61.36 | 37 |
| 49.24 | 18 |
| 82.40 | 16 |
| 72.19 | 12 |
| 20.79 | 5 |
| 40.42 | 3 |
| 54.00 | 1 |
| 76.07 | 1 |
| 65.53 | 1 |

=====

No. 2
MgTlSn: theoretical powder XRD pattern (Cu Kα (weighted mean of Kα1 and Kα2)), based on the PBE geometry in Alexandria.

Structural model:
```
MgTlSn
1.0
-4.474 6.874 3.973
4.474 -6.874 3.973
4.474 6.874 -3.973
Mg Tl Sn
6 6 6
Cartesian
0.000 0.000 0.000 Mg
4.474 0.000 0.000 Mg
4.304 5.147 -0.967 Mg
4.645 -1.727 3.006 Mg
0.171 1.727 3.006 Mg
4.304 1.727 3.006 Mg
2.237 2.682 0.414 Tl
6.712 3.010 0.232 Tl
2.237 -0.095 5.306 Tl
2.237 6.970 1.333 Tl
-2.237 3.864 4.205 Tl
2.237 4.192 4.387 Tl
2.237 -0.227 2.010 Sn
2.237 7.101 -1.963 Sn
0.106 4.578 1.990 Sn
4.369 4.578 1.990 Sn
-0.106 9.170 1.990 Sn
0.106 2.296 5.963 Sn
```

Top 10 peaks for 2θ = 10–90°, in order of falling intensity:
| two_theta | intensity |
| --- | --- |
| 32.85 | 100 |
| 30.09 | 87 |
| 22.39 | 32 |
| 25.91 | 27 |
| 52.12 | 25 |
| 39.30 | 25 |
| 40.31 | 24 |
| 19.84 | 23 |
| 34.50 | 22 |
| 47.68 | 21 |